Theoretical powder diffractogram of SrCaCeGeO6 for copper Kα, from DFT lattice parameters and positions (PBE).

Peak list (6 most intense, 2θ from 10° to 80°, in order of rising 2θ)
d 4.104, I = 17.8; d 2.902, I = 100.0; d 2.052, I = 35.5; d 1.676, I = 39.0; d 1.451, I = 21.0; d 1.298, I = 17.5

Atomic structure:
```
data_SrCaCeGeO6
_chemical_formula_sum 'Sr4 Ca4 Ce4 Ge4 O24'
_space_group_name_H-M_alt 'F -4 3 m'
_space_group_IT_number 216
_space_group_name_Hall 'F -4 2 3'
_cell_length_a 8.209
_cell_length_b 8.209
_cell_length_c 8.209
_cell_angle_alpha 90.00
_cell_angle_beta 90.00
_cell_angle_gamma 90.00
loop_
_atom_site_label
_atom_site_fract_x
_atom_site_fract_y
_atom_site_fract_z
_atom_site_occupancy
Sr1 0.000 0.000 0.000 1
Ca1 0.000 0.000 0.500 1
Ce1 0.250 0.250 0.250 1
Ge1 0.250 0.250 0.750 1
O1 0.017 0.250 0.750 1
```